# Rb2SBr6Cl
Theoretical powder XRD pattern, Cu Kα (λ = 1.5418 Å). Input: DFT lattice parameters and positions (PBE).
Neutral-atom scattering factors, no anomalous dispersion.

Unit cell a=8.218 b=8.218 c=10.244 alpha=90.00 beta=90.00 gamma=90.00
Space group I4/mmm (No. 139)
Asymmetric unit:
1 Rb 0.000 0.500 0.250 x4
2 S 0.000 0.000 0.000 x2
3 Br 0.000 0.000 0.252 x4
4 Br 0.217 0.217 0.000 x8
5 Cl 0.000 0.000 0.500 x2

Most intense lines, 2θ from 5° to 70°, low angle first:
h k l	2theta	I_rel
1 0 1	13.81	7
2 0 2	27.83	100
2 2 0	30.77	56
3 0 1	33.87	7
0 0 4	35.04	23
4 0 0	44.08	17
2 2 4	47.31	32
4 2 2	52.94	22
4 0 4	57.51	15
2 0 6	58.54	12

***

# ThPa2BC4
Theoretical powder XRD pattern, Cu Kα (λ = 1.5418 Å). Input: DFT lattice parameters and positions (PBE).
Neutral-atom scattering factors, no anomalous dispersion.

Unit cell a=3.722 b=12.136 c=10.893 alpha=90.00 beta=90.00 gamma=90.00
Space group Cmcm (No. 63)
Asymmetric unit:
1 Th 0.000 0.093 0.250 x4
2 Pa 0.000 0.371 0.068 x8
3 B 0.000 0.230 0.750 x4
4 C 0.000 0.000 0.000 x4
5 C 0.000 0.265 0.621 x8
6 C 0.000 0.461 0.250 x4

Most intense lines, 2θ from 5° to 70°, low angle first:
h k l	2theta	I_rel
1 1 1	26.35	35
0 2 3	28.65	100
0 4 0	29.44	37
1 1 2	29.99	62
1 3 1	33.75	49
1 3 2	36.73	22
1 5 2	47.75	21
2 0 0	48.99	35
1 3 5	53.76	20
2 2 3	57.70	30

***

# CeScTlGa
Theoretical powder XRD pattern, Cu Kα (λ = 1.5418 Å). Input: DFT lattice parameters and positions (PBE).
Neutral-atom scattering factors, no anomalous dispersion.

Unit cell a=3.335 b=3.335 c=8.392 alpha=90.00 beta=90.00 gamma=90.00
Space group P4mm (No. 99)
Asymmetric unit:
1 Ce 0.000 0.000 0.000 x1
2 Sc 0.000 0.000 0.545 x1
3 Tl 0.500 0.500 0.290 x1
4 Ga 0.500 0.500 0.753 x1

Most intense lines, 2θ from 5° to 70°, low angle first:
h k l	2theta	I_rel
0 0 1	10.54	25
1 0 1	28.81	31
0 0 3	31.99	11
1 0 2	34.35	100
1 1 0	38.16	40
0 0 4	43.12	11
1 1 3	50.63	12
2 0 0	55.07	14
1 1 4	58.92	17
2 1 2	66.54	29

***

# Tm7Al5Ga
Theoretical powder XRD pattern, Cu Kα (λ = 1.5418 Å). Input: DFT lattice parameters and positions (PBE).
Neutral-atom scattering factors, no anomalous dispersion.

Unit cell a=6.078 b=9.901 c=10.411 alpha=90.00 beta=90.00 gamma=90.00
Space group Imm2 (No. 44)
Asymmetric unit:
1 Tm 0.000 0.000 0.000 x2
2 Tm 0.000 0.000 0.379 x2
3 Tm 0.000 0.312 0.583 x4
4 Tm 0.000 0.334 0.073 x4
5 Tm 0.000 0.500 0.327 x2
6 Al 0.000 0.500 0.822 x2
7 Al 0.227 0.244 0.833 x8
8 Ga 0.000 0.000 0.681 x2

Most intense lines, 2θ from 5° to 70°, low angle first:
h k l	2theta	I_rel
0 0 2	17.04	34
0 2 2	24.79	70
2 0 0	29.39	80
1 0 3	29.64	34
1 3 0	30.83	76
1 2 3	34.85	40
1 3 2	35.43	100
1 1 4	38.72	36
2 2 2	38.84	61
3 3 2	56.13	37

***

# Nd2Sm5Sc
Theoretical powder XRD pattern, Cu Kα (λ = 1.5418 Å). Input: DFT lattice parameters and positions (PBE).
Neutral-atom scattering factors, no anomalous dispersion.

Unit cell a=5.623 b=11.915 c=16.049 alpha=90.00 beta=90.00 gamma=90.00
Space group Cmcm (No. 63)
Asymmetric unit:
1 Nd 0.000 0.221 0.135 x8
2 Sm 0.000 0.079 0.593 x8
3 Sm 0.000 0.382 0.552 x8
4 Sm 0.000 0.467 0.250 x4
5 Sc 0.000 0.260 0.750 x4

Most intense lines, 2θ from 5° to 70°, low angle first:
h k l	2theta	I_rel
1 3 1	28.06	22
1 1 4	28.33	46
1 3 2	29.70	17
0 4 1	30.52	16
2 0 0	31.83	52
0 4 2	32.05	18
1 3 3	32.27	100
1 1 5	33.00	40
2 4 2	45.79	13
3 3 3	56.99	20

***

# Ce2Cd3Au
Theoretical powder XRD pattern, Cu Kα (λ = 1.5418 Å). Input: DFT lattice parameters and positions (PBE).
Neutral-atom scattering factors, no anomalous dispersion.

Unit cell a=3.312 b=5.032 c=8.715 alpha=90.00 beta=90.00 gamma=90.00
Space group Pmm2 (No. 25)
Asymmetric unit:
1 Ce 0.000 0.000 0.000 x1
2 Ce 0.000 0.500 0.472 x1
3 Cd 0.500 0.000 0.652 x1
4 Cd 0.500 0.500 0.150 x1
5 Cd 0.500 0.500 0.816 x1
6 Au 0.500 0.000 0.320 x1

Most intense lines, 2θ from 5° to 70°, low angle first:
h k l	2theta	I_rel
0 0 1	10.15	9
1 0 0	26.92	7
1 1 1	34.00	100
0 2 0	35.69	95
1 1 3	45.27	12
1 2 2	50.11	32
2 0 0	55.49	9
1 3 1	63.03	31
0 3 3	64.11	16
2 2 0	67.74	29